# Y3TmAl8
Computed XRD peak list, a wavelength of 1.5418 Å. Input: a crystal structure in Alexandria, relaxed with GGA-PBE.

Peak list (8 most intense, 10° ≤ 2θ ≤ 90°, low angle first)
(1 0 0), 2θ 18.49, I = 34; (0 1 1), 2θ 20.92, I = 34; (1 1 0), 2θ 32.32, I = 69; (0 1 3), 2θ 34.94, I = 100; (1 1 2), 2θ 38.00, I = 74; (2 0 1), 2θ 38.81, I = 40; (1 2 3), 2θ 59.34, I = 40; (0 2 5), 2θ 64.13, I = 21

Atomic structure:
```
Y3TmAl8
1.0
5.5406 0.0000 0.0000
-2.7703 4.7983 0.0000
0.0000 0.0000 9.1207
Y Tm Al
3 1 8
Direct
0.0000 0.0000 0.0000 Y
0.0000 0.0000 0.3651 Y
0.3333 0.6667 0.8636 Y
0.3333 0.6667 0.4996 Tm
0.0089 0.5045 0.1828 Al
0.3245 0.1622 0.6808 Al
0.4955 0.5045 0.1828 Al
0.4955 0.9911 0.1828 Al
0.6667 0.3333 0.4325 Al
0.6667 0.3333 0.9316 Al
0.8378 0.1622 0.6808 Al
0.8378 0.6755 0.6808 Al
```